Record 1
# Tb9Er3Tm2
Computed X-ray powder pattern, copper Kα. Input: DFT lattice parameters and positions (GGA-PBE).
Lines closer than 0.1° are merged.

Largest 12 diffraction maxima, low angle first, 2θ = 5–70°:
Position (°2θ)  d (Å)  intensity
29.6  3.018  37
31.7  2.826  72
32.3  2.771  53
32.5  2.752  100
32.7  2.735  68
32.9  2.719  20
34.8  2.580  15
43.6  2.076  13
44.2  2.050  12
49.3  1.847  18
56.7  1.624  12
59.8  1.546  20

Cell and atoms:
a = 6.036 Å, b = 6.752 Å, c = 11.594 Å
α = 105.20°, β = 104.11°, γ = 90.24°
Sites, in units of the cell vectors:
1 Tb 0.000 0.000 0.000
2 Tb 0.075 0.928 0.291
3 Tb 0.229 0.430 0.289
4 Tb 0.352 0.748 0.847
5 Tb 0.360 0.854 0.572
6 Tb 0.640 0.146 0.428
7 Tb 0.648 0.252 0.153
8 Tb 0.771 0.570 0.711
9 Tb 0.925 0.072 0.709
10 Er 0.000 0.500 0.000
11 Er 0.208 0.354 0.572
12 Er 0.792 0.646 0.428
13 Tm 0.475 0.253 0.855
14 Tm 0.525 0.747 0.145



Record 2
# Tb8ErTm3
Computed X-ray powder pattern, copper Kα. Input: DFT lattice parameters and positions (GGA-PBE).
Lines closer than 0.1° are merged.

Largest 11 diffraction maxima, low angle first, 2θ = 5–70°:
Position (°2θ)  d (Å)  intensity
20.2  4.405  28
23.3  3.815  12
33.2  2.698  100
39.2  2.301  15
41.0  2.203  4
47.7  1.908  18
52.3  1.750  7
53.7  1.706  5
59.3  1.557  38
63.3  1.468  5
69.7  1.349  12

Cell and atoms:
a = 7.632 Å, b = 7.632 Å, c = 9.338 Å
α = 114.08°, β = 114.08°, γ = 89.98°
Sites, in units of the cell vectors:
1 Tb 0.125 0.125 0.250
2 Tb 0.125 0.625 0.250
3 Tb 0.375 0.375 0.750
4 Tb 0.375 0.875 0.750
5 Tb 0.625 0.125 0.250
6 Tb 0.625 0.625 0.250
7 Tb 0.875 0.375 0.750
8 Tb 0.875 0.875 0.750
9 Er 0.000 0.000 0.500
10 Tm 0.250 0.750 0.000
11 Tm 0.500 0.500 0.500
12 Tm 0.750 0.250 0.000



Record 3
# Tb2Er4Tm
Computed X-ray powder pattern, copper Kα. Input: DFT lattice parameters and positions (GGA-PBE).
Lines closer than 0.1° are merged.

Largest 12 diffraction maxima, low angle first, 2θ = 5–70°:
Position (°2θ)  d (Å)  intensity
29.5  3.029  38
31.7  2.825  50
32.2  2.780  100
34.4  2.605  86
40.2  2.245  16
47.2  1.924  11
51.6  1.770  38
55.3  1.662  21
59.6  1.551  18
61.9  1.500  44
62.2  1.493  15
63.5  1.464  15

Cell and atoms:
a = 3.540 Å, b = 3.540 Å, c = 19.777 Å
α = 90.00°, β = 90.00°, γ = 120.00°
Sites, in units of the cell vectors:
1 Tb 0.000 0.000 0.000
2 Tb 0.000 0.000 0.286
3 Er 0.333 0.667 0.143
4 Er 0.333 0.667 0.855
5 Er 0.667 0.333 0.430
6 Er 0.667 0.333 0.712
7 Tm 0.000 0.000 0.571



- Which formula does entry 2 have?
  Tb8ErTm3